Record 1
Computed X-ray powder pattern
Compound: Ho5Tm4Th2
Radiation: Cu Kα (λ = 1.5418 Å)
Structure: a DFT-relaxed cell (PBE, Alexandria)

Principal peaks in the range 2θ from 5° to 70°, in order of falling intensity:
2θ (°), intensity
31.54, 1000
31.92, 712
33.82, 675
33.59, 551
31.96, 511
29.95, 367

Structural model:
Cell lengths 3.507, 8.755, 11.138 Å; angles 88.85, 89.29, 89.60 degrees
Fractional positions:
Ho (0.000, 0.000, 0.000)
Ho (0.244, 0.181, 0.479)
Ho (0.269, 0.358, 0.914)
Ho (0.731, 0.642, 0.086)
Ho (0.756, 0.819, 0.521)
Tm (0.246, 0.732, 0.796)
Tm (0.292, 0.918, 0.262)
Tm (0.708, 0.082, 0.738)
Tm (0.754, 0.268, 0.204)
Th (0.252, 0.545, 0.361)
Th (0.748, 0.455, 0.639)

Record 2
Computed X-ray powder pattern
Compound: Ho7TmTh4
Radiation: Cu Kα (λ = 1.5418 Å)
Structure: a DFT-relaxed cell (PBE, Alexandria)

Principal peaks in the range 2θ from 5° to 70°, in order of falling intensity:
2θ (°), intensity
31.86, 1000
31.68, 1000
56.66, 393
45.55, 372
56.77, 208
56.33, 178

Structural model:
Cell lengths 5.618, 5.618, 13.872 Å; angles 90.00, 90.00, 120.00 degrees
Fractional positions:
Ho (0.000, 0.000, 0.000)
Ho (0.000, 0.000, 0.241)
Ho (0.000, 0.000, 0.759)
Ho (0.333, 0.667, 0.181)
Ho (0.333, 0.667, 0.426)
Ho (0.667, 0.333, 0.574)
Ho (0.667, 0.333, 0.819)
Tm (0.000, 0.000, 0.500)
Th (0.333, 0.667, 0.675)
Th (0.333, 0.667, 0.920)
Th (0.667, 0.333, 0.080)
Th (0.667, 0.333, 0.325)

Record 3
Computed X-ray powder pattern
Compound: Ho12Tm6Th
Radiation: Cu Kα (λ = 1.5418 Å)
Structure: a DFT-relaxed cell (PBE, Alexandria)

Principal peaks in the range 2θ from 5° to 70°, in order of falling intensity:
2θ (°), intensity
32.11, 1000
31.81, 609
30.60, 601
32.30, 586
35.10, 443
34.65, 438

Structural model:
Cell lengths 8.637, 8.637, 8.637 Å; angles 99.99, 99.99, 99.99 degrees
Fractional positions:
Ho (0.000, 0.257, 0.743)
Ho (0.000, 0.743, 0.257)
Ho (0.154, 0.154, 0.424)
Ho (0.154, 0.424, 0.154)
Ho (0.257, 0.000, 0.743)
Ho (0.257, 0.743, 0.000)
Ho (0.424, 0.154, 0.154)
Ho (0.576, 0.846, 0.846)
Ho (0.743, 0.000, 0.257)
Ho (0.743, 0.257, 0.000)
Ho (0.846, 0.576, 0.846)
Ho (0.846, 0.846, 0.576)
Tm (0.166, 0.607, 0.607)
Tm (0.393, 0.393, 0.834)
Tm (0.393, 0.834, 0.393)
Tm (0.607, 0.166, 0.607)
Tm (0.607, 0.607, 0.166)
Tm (0.834, 0.393, 0.393)
Th (0.500, 0.500, 0.500)

Record 4
Computed X-ray powder pattern
Compound: HoTm4Th
Radiation: Cu Kα (λ = 1.5418 Å)
Structure: a DFT-relaxed cell (PBE, Alexandria)

Principal peaks in the range 2θ from 5° to 70°, in order of falling intensity:
2θ (°), intensity
33.24, 1000
31.55, 482
33.42, 467
30.22, 355
62.05, 283
51.94, 241

Structural model:
Cell lengths 9.298, 9.298, 11.344 Å; angles 90.00, 90.00, 158.02 degrees
Fractional positions:
Ho (0.221, 0.779, 0.500)
Ho (0.779, 0.221, 0.000)
Tm (0.001, 0.999, 0.254)
Tm (0.112, 0.888, 0.006)
Tm (0.332, 0.668, 0.252)
Tm (0.445, 0.555, 0.001)
Tm (0.555, 0.445, 0.501)
Tm (0.668, 0.332, 0.752)
Tm (0.888, 0.112, 0.506)
Tm (0.999, 0.001, 0.754)
Th (0.334, 0.666, 0.752)
Th (0.666, 0.334, 0.252)

Record 5
Computed X-ray powder pattern
Compound: HoTm14Th
Radiation: Cu Kα (λ = 1.5418 Å)
Structure: a DFT-relaxed cell (PBE, Alexandria)

Principal peaks in the range 2θ from 5° to 70°, in order of falling intensity:
2θ (°), intensity
31.98, 1000
32.87, 316
31.35, 177
58.13, 167
32.45, 152
53.65, 127

Structural model:
Cell lengths 10.899, 6.841, 6.841 Å; angles 72.46, 90.00, 90.00 degrees
Fractional positions:
Ho (0.000, 0.000, 0.000)
Tm (0.000, 0.516, 0.926)
Tm (0.000, 0.926, 0.516)
Tm (0.233, 0.207, 0.207)
Tm (0.250, 0.138, 0.716)
Tm (0.250, 0.716, 0.138)
Tm (0.268, 0.649, 0.649)
Tm (0.500, 0.343, 0.934)
Tm (0.500, 0.412, 0.412)
Tm (0.500, 0.860, 0.860)
Tm (0.500, 0.934, 0.343)
Tm (0.732, 0.649, 0.649)
Tm (0.750, 0.138, 0.716)
Tm (0.750, 0.716, 0.138)
Tm (0.767, 0.207, 0.207)
Th (0.000, 0.436, 0.436)

Record 6
Computed X-ray powder pattern
Compound: Ho3Tm8Th
Radiation: Cu Kα (λ = 1.5418 Å)
Structure: a DFT-relaxed cell (PBE, Alexandria)

Principal peaks in the range 2θ from 5° to 70°, in order of falling intensity:
2θ (°), intensity
33.23, 1000
33.34, 496
20.19, 412
59.51, 381
59.30, 193
47.87, 182

Structural model:
Cell lengths 9.351, 9.351, 9.351 Å; angles 132.04, 132.04, 70.17 degrees
Fractional positions:
Ho (0.000, 0.000, 0.000)
Ho (0.250, 0.750, 0.500)
Ho (0.750, 0.250, 0.500)
Tm (0.125, 0.125, 0.499)
Tm (0.125, 0.625, 0.000)
Tm (0.375, 0.375, 0.499)
Tm (0.375, 0.875, 0.000)
Tm (0.625, 0.125, 0.000)
Tm (0.625, 0.625, 0.501)
Tm (0.875, 0.375, 0.000)
Tm (0.875, 0.875, 0.501)
Th (0.500, 0.500, 0.000)